Calculated PXRD pattern
Compound: Bi2SbS4Br
Radiation: copper Kα
Structure: DFT lattice parameters and positions (GGA-PBE)
Kinematic intensities with the Lorentz-polarization factor, no thermal factor.

Cell and atoms:
```
8
Lattice="6.569 -1.966 0.000 6.569 1.966 0.000 -4.705 0.000 8.513" Properties=species:S:1:pos:R:3 pbc="T T T"
Bi 1.450 0.000 2.178
Bi 6.983 0.000 6.335
Sb -2.352 0.000 4.256
S -1.361 0.000 6.817
S 2.342 0.000 4.781
S 6.092 0.000 3.732
S 9.794 0.000 1.696
Br 6.569 0.000 0.000
```

Main lines, sorted by position (2θ = 10–80°):
| d [Å] | I (rel.) |
| --- | --- |
| 6.417 | 22 |
| 4.667 | 100 |
| 3.229 | 76 |
| 2.925 | 69 |
| 2.829 | 56 |
| 2.788 | 62 |
| 2.449 | 58 |
| 2.128 | 22 |
| 1.986 | 37 |
| 1.966 | 24 |

***

Calculated PXRD pattern
Compound: Bi3SeBr7
Radiation: copper Kα
Structure: DFT lattice parameters and positions (GGA-PBE)
Kinematic intensities with the Lorentz-polarization factor, no thermal factor.

Cell and atoms:
```
11
Lattice="8.412 0.000 0.000 -4.206 7.285 0.000 0.000 0.000 7.107" Properties=species:S:1:pos:R:3 pbc="T T T"
Bi -2.039 3.679 0.000
Bi 2.039 3.679 0.000
Bi 0.000 7.211 0.000
Se 0.000 4.857 1.623
Br 0.000 2.495 5.414
Br -2.045 6.037 5.414
Br 2.148 1.240 1.600
Br 2.045 6.037 5.414
Br 4.206 2.428 5.294
Br 6.263 1.240 1.600
Br 4.206 4.804 1.600
```

Main lines, sorted by position (2θ = 10–80°):
| d [Å] | I (rel.) |
| --- | --- |
| 7.285 | 24 |
| 7.107 | 72 |
| 5.087 | 18 |
| 3.242 | 100 |
| 2.544 | 70 |
| 2.103 | 36 |
| 2.017 | 21 |
| 1.986 | 31 |
| 1.764 | 17 |
| 1.621 | 18 |

***

Calculated PXRD pattern
Compound: Sr4BiSe2Br
Radiation: copper Kα
Structure: DFT lattice parameters and positions (GGA-PBE)
Kinematic intensities with the Lorentz-polarization factor, no thermal factor.

Cell and atoms:
```
8
Lattice="0.000 4.589 6.526 4.584 0.000 6.526 4.584 4.589 0.000" Properties=species:S:1:pos:R:3 pbc="T T T"
Sr 2.292 2.294 0.000
Sr 4.584 4.589 3.221
Sr 2.292 2.294 6.526
Sr 4.584 4.589 9.831
Bi 0.000 0.000 0.000
Se 2.292 2.294 3.263
Se 6.876 6.883 9.789
Br 4.584 4.589 6.526
```

Main lines, sorted by position (2θ = 10–80°):
| d [Å] | I (rel.) |
| --- | --- |
| 5.808 | 18 |
| 3.263 | 51 |
| 3.243 | 100 |
| 2.300 | 78 |
| 2.293 | 38 |
| 1.876 | 42 |
| 1.458 | 18 |
| 1.452 | 27 |
| 1.329 | 13 |
| 1.325 | 27 |

***

Calculated PXRD pattern
Compound: SnBiBr5
Radiation: copper Kα
Structure: DFT lattice parameters and positions (GGA-PBE)
Kinematic intensities with the Lorentz-polarization factor, no thermal factor.

Cell and atoms:
```
14
Lattice="8.445 0.000 0.000 0.000 4.324 0.000 -1.027 0.000 14.166" Properties=species:S:1:pos:R:3 pbc="T T T"
Sn 0.657 1.081 1.877
Sn 6.761 3.243 12.289
Bi 3.047 3.243 4.997
Bi 4.372 1.081 9.169
Br 0.262 3.243 4.458
Br 0.274 1.081 13.233
Br 2.150 1.081 6.890
Br 2.805 3.243 1.940
Br 2.591 3.243 10.004
Br 4.827 1.081 4.162
Br 4.614 1.081 12.227
Br 5.268 3.243 7.276
Br 7.144 3.243 0.933
Br 7.156 1.081 9.708
```

Main lines, sorted by position (2θ = 10–80°):
| d [Å] | I (rel.) |
| --- | --- |
| 7.481 | 100 |
| 3.686 | 19 |
| 3.335 | 17 |
| 3.033 | 42 |
| 3.017 | 33 |
| 2.831 | 24 |
| 2.743 | 15 |
| 2.240 | 14 |
| 2.162 | 29 |
| 2.071 | 15 |

***

Calculated PXRD pattern
Compound: SnBi2Br8
Radiation: copper Kα
Structure: DFT lattice parameters and positions (GGA-PBE)
Kinematic intensities with the Lorentz-polarization factor, no thermal factor.

Cell and atoms:
```
11
Lattice="10.295 -1.989 0.000 10.295 1.989 0.000 -0.257 0.000 10.343" Properties=species:S:1:pos:R:3 pbc="T T T"
Sn 0.000 0.000 0.000
Bi 7.045 0.000 2.782
Bi 13.287 0.000 7.561
Br 1.946 0.000 5.719
Br 2.743 0.000 9.872
Br 5.170 0.000 7.271
Br 10.167 0.000 2.217
Br 10.165 0.000 8.126
Br 15.163 0.000 3.072
Br 17.589 0.000 0.471
Br 18.386 0.000 4.624
```

Main lines, sorted by position (2θ = 10–80°):
| d [Å] | I (rel.) |
| --- | --- |
| 7.388 | 31 |
| 7.206 | 100 |
| 4.660 | 25 |
| 3.280 | 22 |
| 3.124 | 38 |
| 3.109 | 37 |
| 2.745 | 30 |
| 2.576 | 22 |
| 2.220 | 21 |
| 2.134 | 22 |

***

Calculated PXRD pattern
Compound: TlSnBiBr6
Radiation: copper Kα
Structure: DFT lattice parameters and positions (GGA-PBE)
Kinematic intensities with the Lorentz-polarization factor, no thermal factor.

Cell and atoms:
```
18
Lattice="7.305 0.000 0.000 0.000 7.305 0.000 0.000 0.000 13.447" Properties=species:S:1:pos:R:3 pbc="T T T"
Tl 0.000 0.000 0.000
Tl 3.652 3.652 6.724
Sn 0.000 0.000 9.010
Sn 3.652 3.652 2.286
Bi 0.000 0.000 4.475
Bi 3.652 3.652 11.198
Br 1.316 1.316 6.725
Br 1.520 1.520 2.522
Br 1.614 1.614 11.048
Br 2.038 5.267 4.325
Br 2.132 5.173 9.246
Br 2.337 4.968 0.001
Br 4.968 2.337 0.001
Br 5.173 2.132 9.246
Br 5.267 2.038 4.325
Br 5.690 5.690 11.048
Br 5.784 5.784 2.522
Br 5.989 5.989 6.725
```

Main lines, sorted by position (2θ = 10–80°):
| d [Å] | I (rel.) |
| --- | --- |
| 5.165 | 100 |
| 3.820 | 44 |
| 3.385 | 43 |
| 2.640 | 93 |
| 2.583 | 40 |
| 2.241 | 18 |
| 2.140 | 49 |
| 2.055 | 27 |
| 1.693 | 20 |
| 1.298 | 19 |

***

Calculated PXRD pattern
Compound: SrBiBr6
Radiation: copper Kα
Structure: DFT lattice parameters and positions (GGA-PBE)
Kinematic intensities with the Lorentz-polarization factor, no thermal factor.

Cell and atoms:
```
8
Lattice="7.155 0.000 0.000 -3.573 6.219 0.000 -3.571 -2.059 6.664" Properties=species:S:1:pos:R:3 pbc="T T T"
Sr 0.000 0.000 0.000
Bi -3.572 2.080 3.332
Br -1.255 2.261 1.716
Br -2.254 0.163 4.945
Br -2.572 4.180 4.947
Br 2.584 -0.020 1.717
Br 2.266 3.997 1.719
Br 1.267 1.899 4.948
```

Main lines, sorted by position (2θ = 10–80°):
| d [Å] | I (rel.) |
| --- | --- |
| 5.929 | 36 |
| 5.274 | 86 |
| 3.893 | 65 |
| 3.158 | 100 |
| 3.151 | 32 |
| 2.961 | 26 |
| 2.446 | 25 |
| 2.439 | 82 |
| 2.286 | 23 |
| 2.067 | 40 |

***

Calculated PXRD pattern
Compound: Bi2Te2Br
Radiation: copper Kα
Structure: DFT lattice parameters and positions (GGA-PBE)
Kinematic intensities with the Lorentz-polarization factor, no thermal factor.

Cell and atoms:
```
5
Lattice="-2.917 2.917 5.302 2.917 -2.917 5.302 2.917 2.917 -5.302" Properties=species:S:1:pos:R:3 pbc="T T T"
Bi 0.000 0.000 1.609
Bi 0.000 0.000 8.995
Te 2.917 0.000 2.651
Te 0.000 2.917 2.651
Br 0.000 0.000 5.302
```

Main lines, sorted by position (2θ = 10–80°):
| d [Å] | I (rel.) |
| --- | --- |
| 5.302 | 35 |
| 5.111 | 33 |
| 4.125 | 25 |
| 3.023 | 91 |
| 2.917 | 100 |
| 2.230 | 41 |
| 2.099 | 67 |
| 2.062 | 38 |
| 1.624 | 30 |
| 1.276 | 27 |

***

Calculated PXRD pattern
Compound: TiBi2Br
Radiation: copper Kα
Structure: DFT lattice parameters and positions (GGA-PBE)
Kinematic intensities with the Lorentz-polarization factor, no thermal factor.

Cell and atoms:
```
8
Lattice="-2.934 2.934 8.643 2.934 -2.934 8.643 2.934 2.934 -8.643" Properties=species:S:1:pos:R:3 pbc="T T T"
Ti 0.000 0.000 0.000
Ti 0.000 2.934 4.321
Bi 4.401 0.885 -2.161
Bi 0.885 1.467 2.161
Bi -1.467 2.049 6.482
Bi 2.049 1.467 10.804
Br 2.934 0.000 4.321
Br 0.000 0.000 8.643
```

Main lines, sorted by position (2θ = 10–80°):
| d [Å] | I (rel.) |
| --- | --- |
| 5.557 | 18 |
| 4.321 | 21 |
| 4.111 | 20 |
| 3.741 | 100 |
| 2.595 | 36 |
| 2.427 | 40 |
| 2.388 | 23 |
| 2.366 | 30 |
| 2.161 | 13 |
| 2.090 | 16 |

***

Calculated PXRD pattern
Compound: Tl3Bi2Br9
Radiation: copper Kα
Structure: DFT lattice parameters and positions (GGA-PBE)
Kinematic intensities with the Lorentz-polarization factor, no thermal factor.

Cell and atoms:
```
28
Lattice="6.934 4.003 6.695 -6.934 4.003 6.695 0.000 -8.006 6.695" Properties=species:S:1:pos:R:3 pbc="T T T"
Tl -4.993 -0.642 8.369
Tl -1.941 -4.645 11.717
Tl 3.052 -4.003 8.369
Tl -3.052 4.003 11.717
Tl 1.941 4.645 8.369
Tl 4.993 0.642 11.717
Bi 0.000 0.000 2.971
Bi 0.000 0.000 7.072
Bi 0.000 0.000 13.014
Bi 0.000 0.000 17.115
Br -1.482 -6.008 8.452
Br -5.944 -1.721 11.634
Br -2.267 0.000 5.022
Br -1.482 -1.998 8.287
Br 1.134 -1.963 5.022
Br -4.462 4.287 8.452
Br 1.134 1.963 5.022
Br -2.471 0.284 11.800
Br -0.990 2.282 8.287
Br 0.990 -2.282 11.800
Br 2.471 -0.284 8.287
Br -1.134 -1.963 15.065
Br 4.462 -4.287 11.634
Br -1.134 1.963 15.065
Br 1.482 1.998 11.800
Br 2.267 0.000 15.065
Br 5.944 1.721 8.452
Br 1.482 6.008 11.634
```

Main lines, sorted by position (2θ = 10–80°):
| d [Å] | I (rel.) |
| --- | --- |
| 7.704 | 42 |
| 4.427 | 27 |
| 4.003 | 39 |
| 3.852 | 33 |
| 3.348 | 27 |
| 3.079 | 100 |
| 3.013 | 36 |
| 2.621 | 24 |
| 2.415 | 24 |
| 2.408 | 50 |

***

Calculated PXRD pattern
Compound: ZnBiBr4
Radiation: copper Kα
Structure: DFT lattice parameters and positions (GGA-PBE)
Kinematic intensities with the Lorentz-polarization factor, no thermal factor.

Cell and atoms:
```
6
Lattice="4.579 -4.330 0.000 4.579 4.330 0.000 -4.277 0.000 5.344" Properties=species:S:1:pos:R:3 pbc="T T T"
Zn 0.000 0.000 0.000
Bi 2.441 1.241 2.672
Br -2.229 1.315 5.159
Br 0.175 -0.997 2.274
Br 7.110 1.315 0.185
Br 4.707 -0.997 3.070
```

Main lines, sorted by position (2θ = 10–80°):
| d [Å] | I (rel.) |
| --- | --- |
| 5.514 | 20 |
| 5.331 | 71 |
| 4.330 | 10 |
| 3.146 | 100 |
| 2.740 | 11 |
| 2.673 | 29 |
| 2.286 | 17 |
| 2.163 | 20 |
| 2.076 | 16 |
| 1.999 | 21 |